The following is a theoretical XRD peak list of MgMn8O13F3. It was derived from a cell relaxed with GGA+U, using copper Kα.
No peak broadening, texture or thermal motion is included.

Cell and atoms:
a = 5.6931 Å, b = 6.8774 Å, c = 6.9050 Å
α = 94.96°, β = 92.00°, γ = 92.83°
Sites, in units of the cell vectors:
Mg 0.0000 0.0000 0.0000
Mn 0.2293 0.0170 0.5124
Mn 0.2469 0.4894 0.9968
Mn 0.4471 0.5171 0.5100
Mn 0.4718 0.9813 0.9874
Mn 0.7206 0.7511 0.2625
Mn 0.7284 0.2645 0.7488
Mn 0.8825 0.2769 0.2803
Mn 0.9768 0.7136 0.7179
O 0.2128 0.5389 0.7038
O 0.2186 0.9377 0.7832
O 0.4684 0.2320 0.5487
O 0.4808 0.7856 0.4504
O 0.4879 0.7110 0.0480
O 0.4895 0.2603 0.9466
O 0.6733 0.4886 0.3095
O 0.7047 0.5441 0.6959
O 0.7366 0.0152 0.1832
O 0.9477 0.2071 0.5344
O 0.9717 0.2920 0.9849
O 0.9868 0.7956 0.4596
O 0.9964 0.6981 0.0039
F 0.1990 0.4547 0.3006
F 0.2250 0.0549 0.2193
F 0.7534 0.9476 0.7851

Largest 6 diffraction maxima, most intense first, 2θ from 10° to 90°:
- 29.8°, 2.997 Å, rel. 100.0
- 24.0°, 3.713 Å, rel. 77.9
- 25.5°, 3.493 Å, rel. 61.3
- 31.2°, 2.865 Å, rel. 57.2
- 30.9°, 2.891 Å, rel. 55.1
- 53.3°, 1.718 Å, rel. 46.5